1.
Diffraction record for Nb3Pb2O7F5. The XRD peak list is theoretical, not measured: it uses a structure optimized by DFT (GGA-PBE) and CuKα.
Lines closer than 0.1° are merged.

Principal peaks in the range 15° ≤ 2θ ≤ 90°, most intense first:
| d/Å | 2θ/deg | Rel. int. |
| --- | --- | --- |
| 2.788 | 32.10 | 100 |
| 3.423 | 26.03 | 73 |
| 3.373 | 26.43 | 73 |
| 2.142 | 42.18 | 65 |
| 3.061 | 29.18 | 60 |
| 3.024 | 29.53 | 60 |
| 3.348 | 26.62 | 48 |
| 3.751 | 23.72 | 35 |

Crystal structure
Lattice parameters (Å, degrees): 3.9038 3.9824 33.4844 90.00 90.00 90.00
Space group Imm2 (No. 44)
Asymmetric unit:
Nb: 0.0000 0.0000 0.0000 (multiplicity 2)
Nb: 0.0000 0.0000 0.1156 (multiplicity 2)
Nb: 0.0000 0.0000 0.2345 (multiplicity 2)
Pb: 0.0000 0.0000 0.4272 (multiplicity 2)
Pb: 0.0000 0.0000 0.8316 (multiplicity 2)
O: 0.0000 0.0000 0.0548 (multiplicity 2)
O: 0.0000 0.0000 0.1812 (multiplicity 2)
O: 0.0000 0.5000 0.1183 (multiplicity 2)
O: 0.0000 0.5000 0.4869 (multiplicity 2)
O: 0.0000 0.5000 0.6203 (multiplicity 2)
O: 0.0000 0.5000 0.7435 (multiplicity 2)
O: 0.0000 0.5000 0.9879 (multiplicity 2)
F: 0.0000 0.0000 0.3006 (multiplicity 2)
F: 0.0000 0.0000 0.9322 (multiplicity 2)
F: 0.0000 0.5000 0.2448 (multiplicity 2)
F: 0.0000 0.5000 0.3720 (multiplicity 2)
F: 0.0000 0.5000 0.8717 (multiplicity 2)

---

2.
Diffraction record for PmNbO4F. The XRD peak list is theoretical, not measured: it uses a structure optimized by DFT (GGA-PBE) and CuKα.
Lines closer than 0.1° are merged.

Principal peaks in the range 15° ≤ 2θ ≤ 90°, most intense first:
| d/Å | 2θ/deg | Rel. int. |
| --- | --- | --- |
| 3.728 | 23.87 | 100 |
| 3.105 | 28.75 | 73 |
| 3.636 | 24.48 | 65 |
| 2.922 | 30.60 | 64 |
| 4.867 | 18.23 | 39 |
| 2.035 | 44.53 | 31 |
| 2.603 | 34.46 | 31 |
| 2.010 | 45.12 | 28 |

Crystal structure
Lattice parameters (Å, degrees): 9.9205 7.4555 6.9164 90.00 101.15 90.00
Space group C2/m (No. 12)
Asymmetric unit:
Pm: 0.1944 0.0000 0.0792 (multiplicity 4)
Nb: 0.1272 0.5000 0.2916 (multiplicity 4)
O: 0.0663 0.5000 0.7576 (multiplicity 4)
O: 0.1922 0.3136 0.1564 (multiplicity 8)
O: 0.1985 0.5000 0.5656 (multiplicity 4)
F: 0.0122 0.0000 0.8138 (multiplicity 4)

---

3.
Diffraction record for Rb5NbO4F2. The XRD peak list is theoretical, not measured: it uses a structure optimized by DFT (GGA-PBE) and CuKα.
Lines closer than 0.1° are merged.

Principal peaks in the range 15° ≤ 2θ ≤ 90°, most intense first:
| d/Å | 2θ/deg | Rel. int. |
| --- | --- | --- |
| 3.154 | 28.30 | 100 |
| 3.285 | 27.14 | 90 |
| 2.317 | 38.86 | 68 |
| 3.225 | 27.66 | 48 |
| 3.331 | 26.76 | 45 |
| 1.824 | 50.02 | 34 |
| 1.699 | 53.96 | 28 |
| 1.887 | 48.22 | 23 |

Crystal structure
Lattice parameters (Å, degrees): 8.0676 10.7398 6.6628 90.00 90.00 90.00
Space group Amm2 (No. 38)
Asymmetric unit:
Rb: 0.0000 0.0000 0.0000 (multiplicity 2)
Rb: 0.2609 0.1838 0.4895 (multiplicity 8)
Nb: 0.5000 0.0000 0.0037 (multiplicity 2)
O: 0.3110 0.0000 0.1710 (multiplicity 4)
O: 0.5000 0.1425 0.8378 (multiplicity 4)
F: 0.0000 0.2076 0.7568 (multiplicity 4)

---

4.
Diffraction record for Rb5Nb3OF18. The XRD peak list is theoretical, not measured: it uses a structure optimized by DFT (GGA-PBE) and CuKα.
Lines closer than 0.1° are merged.

Principal peaks in the range 15° ≤ 2θ ≤ 90°, most intense first:
| d/Å | 2θ/deg | Rel. int. |
| --- | --- | --- |
| 3.454 | 25.79 | 100 |
| 3.558 | 25.03 | 84 |
| 3.533 | 25.20 | 83 |
| 3.840 | 23.16 | 72 |
| 3.244 | 27.49 | 50 |
| 5.288 | 16.77 | 35 |
| 2.183 | 41.35 | 32 |
| 1.920 | 47.34 | 31 |

Crystal structure
Lattice parameters (Å, degrees): 15.8018 15.8018 7.9700 90.00 90.00 90.00
Space group I4cm (No. 108)
Asymmetric unit:
Rb: 0.0000 0.5000 0.0000 (multiplicity 4)
Rb: 0.0832 0.2232 0.2749 (multiplicity 16)
Nb: 0.0000 0.0000 0.0071 (multiplicity 4)
Nb: 0.1561 0.3439 0.7362 (multiplicity 8)
O: 0.0000 0.0000 0.2338 (multiplicity 4)
F: 0.0296 0.3601 0.7554 (multiplicity 16)
F: 0.0426 0.1160 0.9763 (multiplicity 16)
F: 0.1085 0.2323 0.6677 (multiplicity 16)
F: 0.1354 0.3646 0.4929 (multiplicity 8)
F: 0.1461 0.3539 0.9825 (multiplicity 8)
F: 0.2407 0.2593 0.8151 (multiplicity 8)

---

5.
Diffraction record for NbSeOF7. The XRD peak list is theoretical, not measured: it uses a structure optimized by DFT (GGA-PBE) and CuKα.
Lines closer than 0.1° are merged.

Principal peaks in the range 15° ≤ 2θ ≤ 90°, most intense first:
| d/Å | 2θ/deg | Rel. int. |
| --- | --- | --- |
| 3.933 | 22.61 | 100 |
| 4.039 | 22.01 | 79 |
| 4.668 | 19.01 | 76 |
| 3.651 | 24.38 | 52 |
| 4.502 | 19.72 | 44 |
| 2.529 | 35.50 | 35 |
| 2.876 | 31.10 | 27 |
| 2.507 | 35.82 | 21 |

Crystal structure
Lattice parameters (Å, degrees): 11.4384 8.0787 7.3018 90.00 90.00 90.00
Space group Pnma (No. 62)
Asymmetric unit:
Nb: 0.1505 0.2500 0.2013 (multiplicity 4)
Se: 0.0026 0.7500 0.2351 (multiplicity 4)
O: 0.0170 0.2500 0.9883 (multiplicity 4)
F: 0.0169 0.2500 0.3613 (multiplicity 4)
F: 0.0952 0.0926 0.6987 (multiplicity 8)
F: 0.1380 0.0109 0.1913 (multiplicity 8)
F: 0.2353 0.7500 0.8850 (multiplicity 4)
F: 0.2431 0.7500 0.4997 (multiplicity 4)

---

6.
Diffraction record for TiNbTlO4F2. The XRD peak list is theoretical, not measured: it uses a structure optimized by DFT (GGA-PBE) and CuKα.
Lines closer than 0.1° are merged.

Principal peaks in the range 15° ≤ 2θ ≤ 90°, most intense first:
| d/Å | 2θ/deg | Rel. int. |
| --- | --- | --- |
| 3.148 | 28.35 | 100 |
| 3.762 | 23.65 | 96 |
| 3.131 | 28.51 | 96 |
| 3.274 | 27.24 | 78 |
| 3.054 | 29.25 | 47 |
| 3.664 | 24.29 | 39 |
| 2.439 | 36.85 | 30 |
| 1.832 | 49.78 | 28 |

Crystal structure
Lattice parameters (Å, degrees): 10.4004 10.3265 7.5392 90.00 133.27 90.00
Space group Cc (No. 9)
Asymmetric unit:
Ti: 0.0000 0.0019 0.0000 (multiplicity 4)
Nb: 0.2500 0.2385 0.4774 (multiplicity 4)
Tl: 0.0609 0.4102 0.8709 (multiplicity 4)
O: 0.1419 0.1300 0.5659 (multiplicity 4)
O: 0.1706 0.1204 0.2174 (multiplicity 4)
O: 0.3003 0.3842 0.3680 (multiplicity 4)
O: 0.4795 0.1771 0.7183 (multiplicity 4)
F: 0.2849 0.3776 0.7222 (multiplicity 4)
F: 0.4785 0.4328 0.2265 (multiplicity 4)

---

Copy entry 1 word for word.
Diffraction record for Nb3Pb2O7F5. The XRD peak list is theoretical, not measured: it uses a structure optimized by DFT (GGA-PBE) and CuKα.
Lines closer than 0.1° are merged.

Principal peaks in the range 15° ≤ 2θ ≤ 90°, most intense first:
| d/Å | 2θ/deg | Rel. int. |
| --- | --- | --- |
| 2.788 | 32.10 | 100 |
| 3.423 | 26.03 | 73 |
| 3.373 | 26.43 | 73 |
| 2.142 | 42.18 | 65 |
| 3.061 | 29.18 | 60 |
| 3.024 | 29.53 | 60 |
| 3.348 | 26.62 | 48 |
| 3.751 | 23.72 | 35 |

Crystal structure
Lattice parameters (Å, degrees): 3.9038 3.9824 33.4844 90.00 90.00 90.00
Space group Imm2 (No. 44)
Asymmetric unit:
Nb: 0.0000 0.0000 0.0000 (multiplicity 2)
Nb: 0.0000 0.0000 0.1156 (multiplicity 2)
Nb: 0.0000 0.0000 0.2345 (multiplicity 2)
Pb: 0.0000 0.0000 0.4272 (multiplicity 2)
Pb: 0.0000 0.0000 0.8316 (multiplicity 2)
O: 0.0000 0.0000 0.0548 (multiplicity 2)
O: 0.0000 0.0000 0.1812 (multiplicity 2)
O: 0.0000 0.5000 0.1183 (multiplicity 2)
O: 0.0000 0.5000 0.4869 (multiplicity 2)
O: 0.0000 0.5000 0.6203 (multiplicity 2)
O: 0.0000 0.5000 0.7435 (multiplicity 2)
O: 0.0000 0.5000 0.9879 (multiplicity 2)
F: 0.0000 0.0000 0.3006 (multiplicity 2)
F: 0.0000 0.0000 0.9322 (multiplicity 2)
F: 0.0000 0.5000 0.2448 (multiplicity 2)
F: 0.0000 0.5000 0.3720 (multiplicity 2)
F: 0.0000 0.5000 0.8717 (multiplicity 2)